1.
Starting from a crystal structure in Alexandria, relaxed with PBE, the PXRD pattern of CeNpCdO6 was calculated for CuKα.
No peak broadening, texture or thermal motion is included.

Cell and atoms:
abc: 5.609 5.609 9.887
angles: 90.00 90.00 120.00
Fractional coordinates of all 18 atoms:
Ce 0.000 0.000 0.000
Ce 0.000 0.000 0.500
Np 0.333 0.667 0.250
Np 0.667 0.333 0.750
Cd 0.333 0.667 0.750
Cd 0.667 0.333 0.250
O 0.035 0.353 0.131
O 0.035 0.682 0.369
O 0.318 0.353 0.369
O 0.318 0.965 0.131
O 0.353 0.035 0.631
O 0.353 0.318 0.869
O 0.647 0.682 0.131
O 0.647 0.965 0.369
O 0.682 0.035 0.869
O 0.682 0.647 0.631
O 0.965 0.318 0.631
O 0.965 0.647 0.869

The 8 most intense peaks (2θ = 10–90°), sorted by position:
2θ (°)	d (Å)	I_rel
17.9	4.944	18
20.4	4.360	20
25.7	3.465	100
31.9	2.804	56
36.8	2.439	19
41.4	2.180	28
49.1	1.854	49
53.2	1.721	27

***

2.
Starting from a crystal structure in Alexandria, relaxed with PBE, the PXRD pattern of TlAgGe was calculated for CuKα.
No peak broadening, texture or thermal motion is included.

Cell and atoms:
abc: 3.354 5.920 7.658
angles: 112.37 102.11 90.11
Fractional coordinates of all 6 atoms:
Tl 0.195 0.194 0.389
Tl 0.805 0.806 0.611
Ag 0.109 0.616 0.225
Ag 0.891 0.384 0.775
Ge 0.499 0.776 0.996
Ge 0.501 0.224 0.004

The 8 most intense peaks (2θ = 10–90°), sorted by position:
2θ (°)	d (Å)	I_rel
30.2	2.960	45
32.9	2.723	85
33.0	2.714	25
33.2	2.696	100
35.8	2.506	47
36.0	2.494	49
41.2	2.193	50
62.8	1.481	22

***

3.
Starting from a crystal structure in Alexandria, relaxed with PBE, the PXRD pattern of AcNd4Dy2Ho was calculated for CuKα.
No peak broadening, texture or thermal motion is included.

Cell and atoms:
abc: 6.003 6.017 7.742
angles: 90.00 90.00 90.00
Fractional coordinates of all 8 atoms:
Ac 0.000 0.000 0.000
Nd 0.000 0.500 0.269
Nd 0.000 0.500 0.731
Nd 0.500 0.000 0.270
Nd 0.500 0.000 0.730
Dy 0.000 0.000 0.500
Dy 0.500 0.500 0.000
Ho 0.500 0.500 0.500

The 8 most intense peaks (2θ = 10–90°), sorted by position:
2θ (°)	d (Å)	I_rel
29.7	3.005	58
31.3	2.862	100
42.5	2.125	22
53.7	1.706	44
56.5	1.628	9
56.6	1.627	9
65.2	1.431	11
70.8	1.330	10

***

4.
Starting from a crystal structure in Alexandria, relaxed with PBE, the PXRD pattern of Ac3PuTh3N8 was calculated for CuKα.
No peak broadening, texture or thermal motion is included.

Cell and atoms:
abc: 7.505 7.505 7.505
angles: 58.79 58.79 58.79
Fractional coordinates of all 15 atoms:
Ac 0.000 0.500 0.500
Ac 0.500 0.000 0.500
Ac 0.500 0.500 0.000
Pu 0.500 0.500 0.500
Th 0.000 0.000 0.500
Th 0.000 0.500 0.000
Th 0.500 0.000 0.000
N 0.240 0.240 0.240
N 0.259 0.717 0.717
N 0.283 0.283 0.741
N 0.283 0.741 0.283
N 0.717 0.259 0.717
N 0.717 0.717 0.259
N 0.741 0.283 0.283
N 0.760 0.760 0.760

The 8 most intense peaks (2θ = 10–90°), sorted by position:
2θ (°)	d (Å)	I_rel
28.9	3.092	36
29.6	3.016	100
34.1	2.628	91
48.5	1.875	33
49.5	1.842	32
57.5	1.603	18
58.3	1.582	33
61.5	1.508	17

***

5.
Starting from a crystal structure in Alexandria, relaxed with PBE, the PXRD pattern of Ba7P6 was calculated for CuKα.
No peak broadening, texture or thermal motion is included.

Cell and atoms:
abc: 11.383 11.383 11.383
angles: 39.40 39.40 39.40
Fractional coordinates of all 13 atoms:
Ba 0.000 0.000 0.000
Ba 0.076 0.076 0.554
Ba 0.076 0.554 0.076
Ba 0.446 0.924 0.924
Ba 0.554 0.076 0.076
Ba 0.924 0.446 0.924
Ba 0.924 0.924 0.446
P 0.164 0.164 0.164
P 0.318 0.318 0.318
P 0.386 0.386 0.386
P 0.614 0.614 0.614
P 0.682 0.682 0.682
P 0.836 0.836 0.836

The 8 most intense peaks (2θ = 10–90°), sorted by position:
2θ (°)	d (Å)	I_rel
13.6	6.502	93
16.9	5.243	41
27.0	3.305	77
27.4	3.251	64
28.8	3.096	67
30.4	2.938	53
33.5	2.672	100
47.4	1.919	49